Calculated powder XRD pattern
Compound: Tl5Bi2Pb6
Radiation: Cu Ka
Structure: a structure optimized by DFT (PBE)
Lines closer than 0.1° are merged.

Structure:
a = 6.0283 Å, b = 8.0347 Å, c = 9.3310 Å
α = 94.76°, β = 107.91°, γ = 104.85°
Positions (direct):
Tl: 0.0000 0.0000 0.0000
Tl: 0.1547 0.3117 0.7694
Tl: 0.3047 0.6166 0.5376
Tl: 0.6953 0.3834 0.4624
Tl: 0.8453 0.6883 0.2306
Bi: 0.4727 0.9229 0.3063
Bi: 0.5273 0.0771 0.6937
Pb: 0.0830 0.1525 0.3818
Pb: 0.2301 0.4657 0.1545
Pb: 0.3828 0.7735 0.9255
Pb: 0.6172 0.2265 0.0745
Pb: 0.7699 0.5343 0.8455
Pb: 0.9170 0.8475 0.6182

Most intense lines, 10 to 90 degrees two-theta, in order of falling intensity:
hkl	Position (°2θ)	d_spacing	Rel. int.
1 2 -1	30.76	2.907	100
1 1 2	35.47	2.530	69
0 1 -3	30.86	2.897	50
2 -1 0	31.25	2.862	48
2 0 -3	36.57	2.457	32
1 3 -4	51.61	1.771	24